# 1
Simulated powder X-ray diffraction pattern
Compound: Mg2NpN4
Radiation: Cu Kα (weighted mean of Kα1 and Kα2)
Structure: a GGA-PBE-relaxed structure
Neutral-atom scattering factors, no anomalous dispersion.

Peak list (8 most intense, 10 to 90 degrees two-theta, in order of rising 2θ)
2theta, d_spacing, intensity, (hkl)
18.29, 4.852, 100, 1 0 1
26.87, 3.318, 58, 2 0 0
31.57, 2.834, 67, 1 1 2
32.69, 2.739, 76, 2 1 1
40.41, 2.232, 33, 1 0 3
42.81, 2.112, 17, 3 0 1
50.50, 1.807, 44, 3 1 2
51.27, 1.782, 28, 3 2 1

Crystal structure
```
data_Mg2NpN4
_cell_length_a 6.6369
_cell_length_b 6.6369
_cell_length_c 7.1102
_cell_angle_alpha 90.00
_cell_angle_beta 90.00
_cell_angle_gamma 90.00
_space_group_name_H-M_alt 'I 41/a m d'
_space_group_IT_number 141
loop_
_space_group_symop_operation_xyz
'x,y,z'
'-x,-y,-z'
'-y+1/4,x+3/4,z+1/4'
'y+1/4,-x+3/4,-z+1/4'
'-x+1/2,-y,z+1/2'
'x+1/2,y,-z+1/2'
'y+1/4,-x+1/4,z+3/4'
'-y+1/4,x+1/4,-z+3/4'
'x,-y,-z'
'-x,y,z'
'-y+1/4,-x+1/4,-z+3/4'
'y+1/4,x+1/4,z+3/4'
'-x+1/2,y,-z+1/2'
'x+1/2,-y,z+1/2'
'y+1/4,x+3/4,-z+1/4'
'-y+1/4,-x+3/4,z+1/4'
'x+1/2,y+1/2,z+1/2'
'-x+1/2,-y+1/2,-z+1/2'
'-y+3/4,x+1/4,z+3/4'
'y+3/4,-x+1/4,-z+3/4'
'-x,-y+1/2,z'
'x,y+1/2,-z'
'y+3/4,-x+3/4,z+1/4'
'-y+3/4,x+3/4,-z+1/4'
'x+1/2,-y+1/2,-z+1/2'
'-x+1/2,y+1/2,z+1/2'
'-y+3/4,-x+3/4,-z+1/4'
'y+3/4,x+3/4,z+1/4'
'-x,y+1/2,-z'
'x,-y+1/2,z'
'y+3/4,x+1/4,-z+3/4'
'-y+3/4,-x+1/4,z+3/4'
loop_
_atom_site_label
_atom_site_fract_x
_atom_site_fract_y
_atom_site_fract_z
Mg1 0.0000 0.0000 0.0000
Np1 0.0000 0.2500 0.3750
N1 0.0000 0.0449 0.6898
```

***

# 2
Simulated powder X-ray diffraction pattern
Compound: AcTb4Pm2Ho
Radiation: Cu Kα (weighted mean of Kα1 and Kα2)
Structure: a GGA-PBE-relaxed structure
Neutral-atom scattering factors, no anomalous dispersion.

Peak list (8 most intense, 10 to 90 degrees two-theta, in order of rising 2θ)
2theta, d_spacing, intensity, (hkl)
30.15, 2.964, 100, 1 1 2
34.81, 2.577, 17, 0 2 0
34.97, 2.566, 17, 2 0 0
35.07, 2.559, 17, 0 0 4
50.21, 1.817, 24, 2 2 0
59.54, 1.553, 15, 1 3 2
59.76, 1.548, 15, 3 1 2
59.90, 1.544, 14, 1 1 6

Crystal structure
```
data_AcTb4Pm2Ho
_cell_length_a 5.1319
_cell_length_b 5.1548
_cell_length_c 10.2342
_cell_angle_alpha 90.00
_cell_angle_beta 90.00
_cell_angle_gamma 90.00
_space_group_name_H-M_alt 'P m m m'
_space_group_IT_number 47
_space_group_name_Hall '-P 2 2'
loop_
_atom_site_label
_atom_site_fract_x
_atom_site_fract_y
_atom_site_fract_z
Ac1 0.0000 0.0000 0.0000
Tb1 0.0000 0.5000 0.2581
Tb2 0.5000 0.0000 0.2579
Pm1 0.0000 0.0000 0.5000
Pm2 0.5000 0.5000 0.0000
Ho1 0.5000 0.5000 0.5000
```

***

Repeat the first record exactly.
Simulated powder X-ray diffraction pattern
Compound: Mg2NpN4
Radiation: Cu Kα (weighted mean of Kα1 and Kα2)
Structure: a GGA-PBE-relaxed structure
Neutral-atom scattering factors, no anomalous dispersion.

Peak list (8 most intense, 10 to 90 degrees two-theta, in order of rising 2θ)
2theta, d_spacing, intensity, (hkl)
18.29, 4.852, 100, 1 0 1
26.87, 3.318, 58, 2 0 0
31.57, 2.834, 67, 1 1 2
32.69, 2.739, 76, 2 1 1
40.41, 2.232, 33, 1 0 3
42.81, 2.112, 17, 3 0 1
50.50, 1.807, 44, 3 1 2
51.27, 1.782, 28, 3 2 1

Crystal structure
```
data_Mg2NpN4
_cell_length_a 6.6369
_cell_length_b 6.6369
_cell_length_c 7.1102
_cell_angle_alpha 90.00
_cell_angle_beta 90.00
_cell_angle_gamma 90.00
_space_group_name_H-M_alt 'I 41/a m d'
_space_group_IT_number 141
loop_
_space_group_symop_operation_xyz
'x,y,z'
'-x,-y,-z'
'-y+1/4,x+3/4,z+1/4'
'y+1/4,-x+3/4,-z+1/4'
'-x+1/2,-y,z+1/2'
'x+1/2,y,-z+1/2'
'y+1/4,-x+1/4,z+3/4'
'-y+1/4,x+1/4,-z+3/4'
'x,-y,-z'
'-x,y,z'
'-y+1/4,-x+1/4,-z+3/4'
'y+1/4,x+1/4,z+3/4'
'-x+1/2,y,-z+1/2'
'x+1/2,-y,z+1/2'
'y+1/4,x+3/4,-z+1/4'
'-y+1/4,-x+3/4,z+1/4'
'x+1/2,y+1/2,z+1/2'
'-x+1/2,-y+1/2,-z+1/2'
'-y+3/4,x+1/4,z+3/4'
'y+3/4,-x+1/4,-z+3/4'
'-x,-y+1/2,z'
'x,y+1/2,-z'
'y+3/4,-x+3/4,z+1/4'
'-y+3/4,x+3/4,-z+1/4'
'x+1/2,-y+1/2,-z+1/2'
'-x+1/2,y+1/2,z+1/2'
'-y+3/4,-x+3/4,-z+1/4'
'y+3/4,x+3/4,z+1/4'
'-x,y+1/2,-z'
'x,-y+1/2,z'
'y+3/4,x+1/4,-z+3/4'
'-y+3/4,-x+1/4,z+3/4'
loop_
_atom_site_label
_atom_site_fract_x
_atom_site_fract_y
_atom_site_fract_z
Mg1 0.0000 0.0000 0.0000
Np1 0.0000 0.2500 0.3750
N1 0.0000 0.0449 0.6898
```